This entry pairs a crystal structure of OsN2 with its simulated X-ray powder pattern. Radiation: Cu Kα (λ = 1.5418 Å). Structure: a cell relaxed with PBE.
Lines closer than 0.1° are merged.

Main lines, by intensity (2θ = 10–90°):
2θ 17.87, rel. 100, (0 0 1)
2θ 36.75, rel. 87, (1 0 0)
2θ 41.14, rel. 79, (1 0 1)
2θ 52.53, rel. 50, (1 0 2)
2θ 68.46, rel. 25, (1 0 3)
2θ 36.19, rel. 24, (0 0 2)

Cell lengths 2.8242, 2.8242, 4.9643 Å; angles 90.00, 90.00, 120.00 degrees
Sites, in units of the cell vectors:
Os 0.0000 0.0000 0.0000
N 0.0000 0.0000 0.3836
N 0.0000 0.0000 0.6164